# 1
GdAlTc: computed PXRD pattern (CuKα), based on the GGA-PBE geometry in OQMD.

Structural model:
a = 4.5186 Å, b = 4.5186 Å, c = 4.5186 Å
α = 60.00°, β = 60.00°, γ = 60.00°
Sites, in units of the cell vectors:
Gd  0.0000  0.0000  0.0000
Al  0.2500  0.2500  0.2500
Tc  0.5000  0.5000  0.5000

Main lines, in order of rising 2θ (10 to 90 degrees two-theta):
| two_theta | intensity |
| --- | --- |
| 24.12 | 11 |
| 27.92 | 85 |
| 39.90 | 100 |
| 47.17 | 6 |
| 49.41 | 24 |
| 57.71 | 17 |
| 63.45 | 2 |
| 65.30 | 30 |
| 72.46 | 34 |
| 86.07 | 11 |

# 2
Ba2CdIn3Au2: computed PXRD pattern (CuKα), based on the GGA-PBE geometry in OQMD.

Structural model:
a = 6.3313 Å, b = 6.3313 Å, c = 8.0911 Å
α = 90.12°, β = 90.12°, γ = 44.64°
Sites, in units of the cell vectors:
Ba  0.0000  0.0000  0.0000
Ba  0.1305  0.1305  0.5064
Cd  0.7123  0.7123  0.8128
In  0.4159  0.4159  0.6974
In  0.4182  0.4182  0.3113
In  0.7144  0.7144  0.1984
Au  0.2855  0.2855  0.0079
Au  0.8463  0.8463  0.5037

Main lines, in order of rising 2θ (10 to 90 degrees two-theta):
| two_theta | intensity |
| --- | --- |
| 15.13 | 35 |
| 29.85 | 79 |
| 31.52 | 100 |
| 32.52 | 45 |
| 37.06 | 33 |
| 37.40 | 49 |
| 37.93 | 24 |
| 39.06 | 52 |
| 50.38 | 26 |
| 58.39 | 27 |

# 3
Re12CS17Br6: computed PXRD pattern (CuKα), based on the GGA-PBE geometry in OQMD.

Structural model:
a = 11.9620 Å, b = 11.9620 Å, c = 16.6791 Å
α = 90.00°, β = 90.00°, γ = 120.00°
Sites, in units of the cell vectors:
Re  0.0000  0.1321  0.0870
Re  0.0000  0.1321  0.9130
Re  0.0000  0.8748  0.2191
Re  0.0000  0.8748  0.7809
Re  0.1252  0.1252  0.2191
Re  0.1252  0.1252  0.7809
Re  0.1321  0.0000  0.0870
Re  0.1321  0.0000  0.9130
Re  0.8679  0.8679  0.0870
Re  0.8679  0.8679  0.9130
Re  0.8748  0.0000  0.2191
Re  0.8748  0.0000  0.7809
C  0.0000  0.0000  0.0000
S  0.0000  0.0000  0.3323
S  0.0000  0.0000  0.6677
S  0.0000  0.2329  0.2128
S  0.0000  0.2329  0.7872
S  0.0000  0.2841  0.0000
S  0.0000  0.7675  0.0950
S  0.0000  0.7675  0.9050
S  0.2325  0.2325  0.0950
S  0.2325  0.2325  0.9050
S  0.2329  0.0000  0.2128
S  0.2329  0.0000  0.7872
S  0.2841  0.0000  0.0000
S  0.7159  0.7159  0.0000
S  0.7671  0.7671  0.2128
S  0.7671  0.7671  0.7872
S  0.7675  0.0000  0.0950
S  0.7675  0.0000  0.9050
Br  0.0000  0.7039  0.3050
Br  0.0000  0.7039  0.6950
Br  0.2961  0.2961  0.3050
Br  0.2961  0.2961  0.6950
Br  0.7039  0.0000  0.3050
Br  0.7039  0.0000  0.6950

Main lines, in order of rising 2θ (10 to 90 degrees two-theta):
| two_theta | intensity |
| --- | --- |
| 10.05 | 100 |
| 10.61 | 14 |
| 13.63 | 15 |
| 14.81 | 12 |
| 15.74 | 11 |
| 38.78 | 11 |
| 39.42 | 12 |
| 41.36 | 11 |
| 43.85 | 10 |
| 46.93 | 25 |

# 4
Ba4Ag3Ir: computed PXRD pattern (CuKα), based on the GGA-PBE geometry in OQMD.

Structural model:
a = 6.5292 Å, b = 4.7982 Å, c = 8.6585 Å
α = 90.00°, β = 90.20°, γ = 90.00°
Sites, in units of the cell vectors:
Ba  0.0000  0.0000  0.0000
Ba  0.2234  0.0000  0.4573
Ba  0.4763  0.5000  0.8548
Ba  0.7306  0.5000  0.3307
Ag  0.4794  0.0000  0.1289
Ag  0.7365  0.0000  0.6301
Ag  0.9720  0.5000  0.6968
Ir  0.2331  0.5000  0.1942

Main lines, in order of rising 2θ (10 to 90 degrees two-theta):
| two_theta | intensity |
| --- | --- |
| 17.01 | 31 |
| 25.23 | 27 |
| 27.75 | 62 |
| 29.23 | 51 |
| 31.01 | 87 |
| 33.95 | 41 |
| 34.82 | 100 |
| 37.49 | 42 |
| 48.20 | 21 |
| 51.46 | 25 |

# 5
Nd2Co3Ge5: computed PXRD pattern (CuKα), based on the GGA-PBE geometry in OQMD.

Structural model:
a = 5.8486 Å, b = 8.2297 Å, c = 8.2308 Å
α = 93.12°, β = 110.01°, γ = 110.01°
Sites, in units of the cell vectors:
Nd  0.2340  0.0971  0.3709
Nd  0.2658  0.6294  0.9029
Nd  0.7342  0.3706  0.0971
Nd  0.7660  0.9029  0.6291
Co  0.1165  0.2395  0.9626
Co  0.2497  0.4967  0.5031
Co  0.3835  0.0375  0.7603
Co  0.6165  0.9625  0.2397
Co  0.7503  0.5033  0.4969
Co  0.8835  0.7605  0.0374
Ge  0.1669  0.7584  0.5694
Ge  0.2501  0.2796  0.7199
Ge  0.2497  0.9937  0.0064
Ge  0.2506  0.7300  0.2702
Ge  0.3330  0.4311  0.2409
Ge  0.6670  0.5689  0.7591
Ge  0.7494  0.2700  0.7298
Ge  0.7503  0.0063  0.9936
Ge  0.7499  0.7204  0.2801
Ge  0.8331  0.2416  0.4306

Main lines, in order of rising 2θ (10 to 90 degrees two-theta):
| two_theta | intensity |
| --- | --- |
| 34.55 | 45 |
| 35.09 | 63 |
| 35.16 | 93 |
| 35.39 | 62 |
| 36.10 | 49 |
| 36.62 | 19 |
| 43.30 | 100 |
| 51.09 | 18 |
| 63.66 | 19 |
| 74.42 | 19 |

# 6
Li2Zn2Sn2PdPt: computed PXRD pattern (CuKα), based on the GGA-PBE geometry in OQMD.

Structural model:
a = 4.5184 Å, b = 4.5184 Å, c = 6.3809 Å
α = 90.00°, β = 90.00°, γ = 90.00°
Sites, in units of the cell vectors:
Li  0.0000  0.0000  0.0000
Li  0.5000  0.5000  0.5000
Zn  0.0000  0.5000  0.2491
Zn  0.5000  0.0000  0.7509
Sn  0.0000  0.5000  0.7494
Sn  0.5000  0.0000  0.2506
Pd  0.0000  0.0000  0.5000
Pt  0.5000  0.5000  0.0000

Main lines, in order of rising 2θ (10 to 90 degrees two-theta):
| two_theta | intensity |
| --- | --- |
| 13.88 | 3 |
| 19.65 | 3 |
| 24.13 | 48 |
| 39.92 | 100 |
| 47.20 | 24 |
| 57.74 | 17 |
| 63.49 | 10 |
| 72.50 | 35 |
| 77.66 | 6 |
| 86.13 | 11 |

# 7
Dy4O5: computed PXRD pattern (CuKα), based on the GGA-PBE geometry in OQMD.

Structural model:
a = 3.8643 Å, b = 3.8643 Å, c = 9.5699 Å
α = 90.00°, β = 90.00°, γ = 90.00°
Sites, in units of the cell vectors:
Dy  0.0000  0.0000  0.0000
Dy  0.0000  0.0000  0.5000
Dy  0.5000  0.5000  0.2420
Dy  0.5000  0.5000  0.7580
O  0.0000  0.5000  0.1434
O  0.0000  0.5000  0.8566
O  0.5000  0.0000  0.1434
O  0.5000  0.0000  0.8566
O  0.5000  0.5000  0.5000

Main lines, in order of rising 2θ (10 to 90 degrees two-theta):
| two_theta | intensity |
| --- | --- |
| 29.72 | 100 |
| 32.77 | 35 |
| 37.60 | 12 |
| 47.03 | 19 |
| 50.72 | 29 |
| 56.63 | 33 |
| 61.71 | 12 |
| 63.05 | 12 |
| 76.60 | 7 |
| 82.25 | 11 |

# 8
Dy3Mg3AgPd2: computed PXRD pattern (CuKα), based on the GGA-PBE geometry in OQMD.

Structural model:
a = 7.5193 Å, b = 7.5193 Å, c = 4.0493 Å
α = 90.00°, β = 90.00°, γ = 120.00°
Sites, in units of the cell vectors:
Dy  0.0000  0.4192  0.0000
Dy  0.4192  0.0000  0.0000
Dy  0.5808  0.5808  0.0000
Mg  0.0000  0.7490  0.5000
Mg  0.2510  0.2510  0.5000
Mg  0.7490  0.0000  0.5000
Ag  0.0000  0.0000  0.0000
Pd  0.3333  0.6667  0.5000
Pd  0.6667  0.3333  0.5000

Main lines, in order of rising 2θ (10 to 90 degrees two-theta):
| two_theta | intensity |
| --- | --- |
| 23.66 | 29 |
| 27.39 | 28 |
| 32.50 | 73 |
| 35.37 | 100 |
| 36.51 | 22 |
| 41.61 | 24 |
| 43.01 | 21 |
| 44.76 | 20 |
| 55.73 | 24 |
| 66.74 | 20 |

# 9
YHfNi2As2: computed PXRD pattern (CuKα), based on the GGA-PBE geometry in OQMD.

Structural model:
a = 3.9891 Å, b = 3.9891 Å, c = 14.8715 Å
α = 90.00°, β = 90.00°, γ = 120.00°
Sites, in units of the cell vectors:
Y  0.0000  0.0000  0.0000
Y  0.0000  0.0000  0.5000
Hf  0.0000  0.0000  0.2500
Hf  0.0000  0.0000  0.7500
Ni  0.3333  0.6667  0.1592
Ni  0.3333  0.6667  0.3408
Ni  0.6667  0.3333  0.6592
Ni  0.6667  0.3333  0.8408
As  0.3333  0.6667  0.6225
As  0.3333  0.6667  0.8775
As  0.6667  0.3333  0.1225
As  0.6667  0.3333  0.3775

Main lines, in order of rising 2θ (10 to 90 degrees two-theta):
| two_theta | intensity |
| --- | --- |
| 11.90 | 26 |
| 25.79 | 12 |
| 35.47 | 100 |
| 45.48 | 50 |
| 49.00 | 7 |
| 50.43 | 8 |
| 58.96 | 23 |
| 69.07 | 15 |
| 77.48 | 20 |
| 84.05 | 8 |

# 10
Th4GaCl: computed PXRD pattern (CuKα), based on the GGA-PBE geometry in OQMD.

Structural model:
a = 6.8513 Å, b = 6.8513 Å, c = 4.0801 Å
α = 90.00°, β = 90.00°, γ = 91.36°
Sites, in units of the cell vectors:
Th  0.2140  0.7860  0.0000
Th  0.2968  0.2968  0.5000
Th  0.7032  0.7032  0.5000
Th  0.7860  0.2140  0.0000
Ga  0.0000  0.0000  0.5000
Cl  0.5000  0.5000  0.0000

Main lines, in order of rising 2θ (10 to 90 degrees two-theta):
| two_theta | intensity |
| --- | --- |
| 26.02 | 70 |
| 28.46 | 100 |
| 28.75 | 76 |
| 29.43 | 27 |
| 36.67 | 23 |
| 44.41 | 20 |
| 45.53 | 39 |
| 47.26 | 28 |
| 47.81 | 24 |
| 52.19 | 22 |

# 11
Na4AlCd2Pb: computed PXRD pattern (CuKα), based on the GGA-PBE geometry in OQMD.

Structural model:
a = 5.1373 Å, b = 5.1373 Å, c = 7.3258 Å
α = 90.00°, β = 90.00°, γ = 90.00°
Sites, in units of the cell vectors:
Na  0.0000  0.0000  0.0000
Na  0.0000  0.5000  0.2442
Na  0.5000  0.0000  0.7558
Na  0.5000  0.5000  0.5000
Al  0.5000  0.5000  0.0000
Cd  0.0000  0.5000  0.7680
Cd  0.5000  0.0000  0.2320
Pb  0.0000  0.0000  0.5000

Main lines, in order of rising 2θ (10 to 90 degrees two-theta):
| two_theta | intensity |
| --- | --- |
| 12.08 | 20 |
| 17.26 | 27 |
| 21.12 | 74 |
| 27.40 | 25 |
| 34.78 | 100 |
| 34.93 | 50 |
| 41.18 | 27 |
| 50.23 | 18 |
| 62.26 | 17 |
| 62.55 | 35 |

# 12
Zr4NiN3: computed PXRD pattern (CuKα), based on the GGA-PBE geometry in OQMD.

Structural model:
a = 3.2573 Å, b = 3.2573 Å, c = 23.6320 Å
α = 90.00°, β = 90.00°, γ = 120.00°
Sites, in units of the cell vectors:
Zr  0.0000  0.0000  0.1684
Zr  0.0000  0.0000  0.3316
Zr  0.0000  0.0000  0.6684
Zr  0.0000  0.0000  0.8316
Zr  0.3333  0.6667  0.0571
Zr  0.3333  0.6667  0.4429
Zr  0.6667  0.3333  0.5571
Zr  0.6667  0.3333  0.9429
Ni  0.3333  0.6667  0.2500
Ni  0.6667  0.3333  0.7500
N  0.0000  0.0000  0.0000
N  0.0000  0.0000  0.5000
N  0.3333  0.6667  0.6127
N  0.3333  0.6667  0.8873
N  0.6667  0.3333  0.1127
N  0.6667  0.3333  0.3873

Main lines, in order of rising 2θ (10 to 90 degrees two-theta):
| two_theta | intensity |
| --- | --- |
| 31.95 | 20 |
| 32.64 | 30 |
| 35.26 | 18 |
| 37.12 | 70 |
| 38.08 | 17 |
| 39.29 | 100 |
| 53.62 | 17 |
| 56.50 | 44 |
| 57.03 | 17 |
| 70.18 | 16 |

# 13
Cs2Sb2Pd: computed PXRD pattern (CuKα), based on the GGA-PBE geometry in OQMD.

Structural model:
a = 8.5618 Å, b = 8.5618 Å, c = 6.8867 Å
α = 90.00°, β = 90.00°, γ = 126.40°
Sites, in units of the cell vectors:
Cs  0.0985  0.9015  0.7500
Cs  0.2999  0.7001  0.2500
Cs  0.7001  0.2999  0.7500
Cs  0.9015  0.0985  0.2500
Sb  0.2180  0.4169  0.7500
Sb  0.4169  0.2180  0.2500
Sb  0.5831  0.7820  0.7500
Sb  0.7820  0.5831  0.2500
Pd  0.5000  0.5000  0.0000
Pd  0.5000  0.5000  0.5000

Main lines, in order of rising 2θ (10 to 90 degrees two-theta):
| two_theta | intensity |
| --- | --- |
| 11.58 | 25 |
| 12.85 | 40 |
| 24.60 | 100 |
| 25.88 | 39 |
| 28.98 | 99 |
| 33.49 | 22 |
| 35.08 | 30 |
| 44.34 | 30 |
| 46.11 | 41 |
| 47.60 | 26 |